# Mn2FeC6N6
Computed powder XRD pattern, CuKα. Input: DFT lattice parameters and positions (GGA-PBE).
Intensities are scaled so that the largest is 100.

Main lines, by intensity (2θ = 10–80°):
index, 2θ/deg, I_rel
1 0 1, 21.91, 100
1 1 2, 41.02, 45
1 1 1, 32.78, 24
1 1 0, 29.60, 16
3 -1 1, 48.18, 15
3 0 0, 52.51, 13
2 0 1, 37.13, 13
2 0 3, 55.45, 10
3 -1 3, 64.11, 9
0 0 1, 13.78, 8
4 -1 1, 66.06, 8
4 -2 2, 68.71, 8

Structural model:
```
data_Mn2FeC6N6
_cell_length_a 6.0367
_cell_length_b 6.0367
_cell_length_c 6.4280
_cell_angle_alpha 90.00
_cell_angle_beta 90.00
_cell_angle_gamma 120.00
_space_group_name_H-M_alt 'P -3 1 m'
_space_group_IT_number 162
_space_group_name_Hall '-P 3 2'
loop_
_atom_site_label
_atom_site_fract_x
_atom_site_fract_y
_atom_site_fract_z
Mn1 0.3333 0.6667 0.0000
Fe1 0.0000 0.0000 0.5000
C1 0.0000 0.2427 0.6789
N1 0.0000 0.3824 0.8091
```